Entry 1:
Starting from a crystal structure in the Materials Project, relaxed with GGA+U, the X-ray diffraction stick pattern of La2MgMoO6 was simulated for Cu Ka.

Principal peaks in the range 10° ≤ 2θ ≤ 90°, most intense first:
| h k l | d [Å] | I/Imax |
| --- | --- | --- |
| 0 1 3 | 3.811 | 100 |
| 1 0 3 | 3.163 | 89 |
| 1 1 0 | 3.130 | 54 |
| 1 2 3 | 2.033 | 49 |
| 1 1 6 | 2.061 | 36 |
| 2 1 3 | 1.727 | 27 |
| 0 2 0 | 2.654 | 24 |
| 0 2 6 | 1.906 | 18 |
| 2 2 0 | 1.565 | 16 |
| 0 0 6 | 2.738 | 12 |

Crystal structure
```
data_La2MgMoO6
_chemical_formula_sum 'La4 Mg2 Mo2 O12'
_cell_length_a 3.8758
_cell_length_b 5.3083
_cell_length_c 16.4262
_cell_angle_alpha 90.00
_cell_angle_beta 90.00
_cell_angle_gamma 90.00
_space_group_name_H-M_alt 'I 2 2 2'
_space_group_IT_number 23
_space_group_name_Hall 'I 2 2'
loop_
_atom_site_label
_atom_site_fract_x
_atom_site_fract_y
_atom_site_fract_z
La1 0.0000 0.0000 0.1838
Mg1 0.0000 0.5000 0.5000
Mo1 0.0000 0.0000 0.5000
O1 0.0000 0.5000 0.2442
O2 0.2209 0.2527 0.5707
```

=====

Entry 2:
Starting from a crystal structure in the Materials Project, relaxed with GGA+U, the X-ray diffraction stick pattern of Li4Ni3BiO8 was simulated for Cu Ka.

Principal peaks in the range 10° ≤ 2θ ≤ 90°, most intense first:
| h k l | d [Å] | I/Imax |
| --- | --- | --- |
| 0 0 3 | 4.936 | 100 |
| 0 2 1 | 2.586 | 53 |
| 0 2 4 | 2.141 | 49 |
| 2 0 5 | 1.965 | 22 |
| 2 0 2 | 2.475 | 21 |
| 0 1 2 | 4.283 | 19 |
| 1 1 0 | 3.029 | 17 |
| 2 2 3 | 1.450 | 16 |
| 2 2 0 | 1.517 | 15 |
| 2 0 8 | 1.512 | 15 |

Crystal structure
```
data_Li4Ni3BiO8
_chemical_formula_sum 'Li12 Ni9 Bi3 O24'
_cell_length_a 6.0663
_cell_length_b 6.0663
_cell_length_c 14.7914
_cell_angle_alpha 90.00
_cell_angle_beta 90.00
_cell_angle_gamma 120.00
_space_group_name_H-M_alt 'R -3 m'
_space_group_IT_number 166
_space_group_name_Hall '-R 3 2"'
loop_
_atom_site_label
_atom_site_fract_x
_atom_site_fract_y
_atom_site_fract_z
Li1 0.0000 0.0000 0.0000
Li2 0.0000 0.5000 0.0000
Ni1 0.0000 0.5000 0.5000
Bi1 0.0000 0.0000 0.5000
O1 0.0000 0.0000 0.2381
O2 0.0023 0.5012 0.7527
```

=====

Entry 3:
Starting from a crystal structure in the Materials Project, relaxed with GGA+U, the X-ray diffraction stick pattern of Li3MnB2O6 was simulated for Cu Ka.

Principal peaks in the range 10° ≤ 2θ ≤ 90°, most intense first:
| h k l | d [Å] | I/Imax |
| --- | --- | --- |
| 0 2 -2 | 2.871 | 100 |
| 0 1 -2 | 3.753 | 79 |
| 0 1 1 | 4.047 | 46 |
| 1 0 0 | 5.186 | 46 |
| 0 1 0 | 6.085 | 41 |
| 1 -1 1 | 3.854 | 29 |
| 2 0 -1 | 2.463 | 24 |
| 1 -1 0 | 3.997 | 23 |
| 0 1 -1 | 5.743 | 23 |
| 1 1 -2 | 3.057 | 22 |

Crystal structure
```
data_Li3MnB2O6
_chemical_formula_sum 'Li6 Mn2 B4 O12'
_cell_length_a 5.1886
_cell_length_b 6.4765
_cell_length_c 7.7869
_cell_angle_alpha 109.98
_cell_angle_beta 91.10
_cell_angle_gamma 90.98
_space_group_name_H-M_alt 'P -1'
_space_group_IT_number 2
_space_group_name_Hall '-P 1'
loop_
_atom_site_label
_atom_site_fract_x
_atom_site_fract_y
_atom_site_fract_z
Li1 0.1130 0.2785 0.4325
Li2 0.1686 0.4919 0.7829
Li3 0.3380 0.4292 0.1185
Mn1 0.4182 0.0808 0.7773
B1 0.1395 0.8308 0.1171
B2 0.3377 0.6822 0.4448
O1 0.1153 0.2308 0.9125
O2 0.1517 0.5338 0.3440
O3 0.2353 0.0190 0.2500
O4 0.2675 0.8135 0.6206
O5 0.3397 0.6999 0.0201
O6 0.4228 0.3028 0.6282
```

=====

Entry 4:
Starting from a crystal structure in the Materials Project, relaxed with GGA+U, the X-ray diffraction stick pattern of Li9Mn2Co5O16 was simulated for Cu Ka.

Principal peaks in the range 10° ≤ 2θ ≤ 90°, most intense first:
| h k l | d [Å] | I/Imax |
| --- | --- | --- |
| 0 0 2 | 4.830 | 100 |
| 1 -2 3 | 2.144 | 31 |
| 1 2 -4 | 2.075 | 28 |
| 0 4 1 | 2.026 | 25 |
| 1 -2 1 | 2.563 | 17 |
| 1 2 -2 | 2.496 | 14 |
| 0 4 -1 | 2.452 | 11 |
| 2 0 -1 | 1.489 | 8 |
| 1 2 0 | 2.393 | 8 |
| 0 4 -7 | 1.493 | 8 |

Crystal structure
```
data_Li9Mn2Co5O16
_chemical_formula_sum 'Li9 Mn2 Co5 O16'
_cell_length_a 2.9800
_cell_length_b 10.0213
_cell_length_c 10.7283
_cell_angle_alpha 114.74
_cell_angle_beta 96.20
_cell_angle_gamma 91.38
_space_group_name_H-M_alt 'P 1'
_space_group_IT_number 1
_space_group_name_Hall 'P 1'
loop_
_atom_site_label
_atom_site_fract_x
_atom_site_fract_y
_atom_site_fract_z
Li1 0.0000 0.0000 0.0000
Li2 0.0052 0.5063 0.0031
Li3 0.2480 0.3789 0.4989
Li4 0.2683 0.8879 0.5145
Li5 0.5042 0.7521 0.0004
Li6 0.5170 0.2472 0.9991
Li7 0.7585 0.6310 0.5063
Li8 0.7775 0.1249 0.5113
Li9 0.8662 0.0635 0.7438
Mn1 0.1359 0.9413 0.2545
Mn2 0.3924 0.3111 0.7533
Co1 0.1326 0.4414 0.2525
Co2 0.3760 0.8254 0.7541
Co3 0.6312 0.1924 0.2521
Co4 0.6370 0.6895 0.2544
Co5 0.8966 0.5691 0.7564
O1 0.0761 0.2305 0.1352
O2 0.0904 0.7287 0.1392
O3 0.1787 0.1552 0.3663
O4 0.1841 0.6501 0.3680
O5 0.3008 0.6100 0.6459
O6 0.3234 0.1151 0.6352
O7 0.4398 0.0107 0.8684
O8 0.4818 0.5297 0.8664
O9 0.5344 0.9808 0.1365
O10 0.5829 0.4785 0.1372
O11 0.6828 0.4035 0.3700
O12 0.7365 0.9003 0.3717
O13 0.7835 0.8417 0.6388
O14 0.8545 0.3560 0.6490
O15 0.9324 0.2897 0.8626
O16 0.9635 0.7755 0.8639
```

=====

Entry 5:
Starting from a crystal structure in the Materials Project, relaxed with GGA+U, the X-ray diffraction stick pattern of Li5Co7O16 was simulated for Cu Ka.

Principal peaks in the range 10° ≤ 2θ ≤ 90°, most intense first:
| h k l | d [Å] | I/Imax |
| --- | --- | --- |
| 1 1 -1 | 4.689 | 100 |
| 1 3 1 | 2.456 | 51 |
| 0 4 0 | 2.036 | 47 |
| 1 1 0 | 5.747 | 44 |
| 3 1 -1 | 2.445 | 34 |
| 0 2 1 | 3.642 | 29 |
| 4 0 0 | 2.019 | 23 |
| 1 5 -1 | 1.568 | 21 |
| 0 4 4 | 1.440 | 20 |
| 4 4 0 | 1.434 | 20 |

Crystal structure
```
data_Li5Co7O16
_chemical_formula_sum 'Li10 Co14 O32'
_cell_length_a 8.0755
_cell_length_b 8.1529
_cell_length_c 8.1381
_cell_angle_alpha 90.00
_cell_angle_beta 90.36
_cell_angle_gamma 90.00
_space_group_name_H-M_alt 'P 1 21 1'
_space_group_IT_number 4
_space_group_name_Hall 'P 2yb'
loop_
_atom_site_label
_atom_site_fract_x
_atom_site_fract_y
_atom_site_fract_z
Li1 0.0005 0.0000 0.2455
Li2 0.1277 0.3720 0.3678
Li3 0.2497 0.2518 0.9999
Li4 0.3769 0.6231 0.8795
Li5 0.4969 0.4967 0.2435
Co1 0.1225 0.6285 0.1212
Co2 0.1283 0.8750 0.8815
Co3 0.1309 0.1275 0.6243
Co4 0.2419 0.7473 0.5027
Co5 0.3720 0.8754 0.1312
Co6 0.3741 0.3670 0.6195
Co7 0.3764 0.1202 0.3787
O1 0.1041 0.3980 0.1219
O2 0.1078 0.6290 0.3641
O3 0.1121 0.1101 0.8570
O4 0.1166 0.6504 0.8989
O5 0.1305 0.8867 0.6432
O6 0.1376 0.8649 0.1127
O7 0.1457 0.1181 0.4034
O8 0.1491 0.3507 0.6321
O9 0.3459 0.6448 0.1294
O10 0.3544 0.8790 0.9014
O11 0.3650 0.1358 0.6131
O12 0.3674 0.1040 0.1567
O13 0.3788 0.3492 0.3967
O14 0.3864 0.8822 0.3708
O15 0.3894 0.6040 0.6156
O16 0.4045 0.3697 0.8511
```

=====

Entry 6:
Starting from a crystal structure in the Materials Project, relaxed with GGA+U, the X-ray diffraction stick pattern of KBaSrMnO6 was simulated for Cu Ka.

Principal peaks in the range 10° ≤ 2θ ≤ 90°, most intense first:
| h k l | d [Å] | I/Imax |
| --- | --- | --- |
| 2 2 0 | 3.049 | 100 |
| 0 2 2 | 3.062 | 50 |
| 2 4 2 | 1.765 | 39 |
| 0 0 4 | 2.165 | 35 |
| 1 1 0 | 6.096 | 28 |
| 4 0 4 | 1.524 | 20 |
| 4 2 2 | 1.758 | 19 |
| 4 0 0 | 2.147 | 17 |
| 0 2 6 | 1.369 | 14 |
| 1 1 2 | 3.532 | 12 |

Crystal structure
```
data_KBaSrMnO6
_chemical_formula_sum 'K4 Ba4 Sr4 Mn4 O24'
_cell_length_a 8.5870
_cell_length_b 8.6561
_cell_length_c 8.6655
_cell_angle_alpha 90.00
_cell_angle_beta 90.00
_cell_angle_gamma 90.00
_space_group_name_H-M_alt 'P n n n'
_space_group_IT_number 48
loop_
_space_group_symop_operation_xyz
'x,y,z'
'-x,-y,-z'
'-x+1/2,-y+1/2,z'
'x+1/2,y+1/2,-z'
'x,-y+1/2,-z+1/2'
'-x,y+1/2,z+1/2'
'-x+1/2,y,-z+1/2'
'x+1/2,-y,z+1/2'
loop_
_atom_site_label
_atom_site_fract_x
_atom_site_fract_y
_atom_site_fract_z
K1 0.2500 0.2500 0.2500
K2 0.2500 0.2500 0.7500
Ba1 0.2500 0.7500 0.2500
Ba2 0.2500 0.7500 0.7500
Sr1 0.0000 0.0000 0.0000
Mn1 0.0000 0.0000 0.5000
O1 0.0041 0.2183 0.4797
O2 0.0169 0.0156 0.7179
O3 0.2180 0.5306 0.0143
```

=====

Entry 7:
Starting from a crystal structure in the Materials Project, relaxed with GGA+U, the X-ray diffraction stick pattern of Ni3TeO6 was simulated for Cu Ka.

Principal peaks in the range 10° ≤ 2θ ≤ 90°, most intense first:
| h k l | d [Å] | I/Imax |
| --- | --- | --- |
| 1 0 4 | 2.750 | 100 |
| 1 1 0 | 2.583 | 99 |
| 1 1 6 | 1.728 | 68 |
| 0 1 2 | 3.765 | 57 |
| 0 2 4 | 1.883 | 40 |
| 2 1 4 | 1.522 | 35 |
| 3 0 0 | 1.491 | 35 |
| 1 0 1 | 4.260 | 19 |
| 1 1 3 | 2.258 | 18 |
| 1 0 10 | 1.331 | 16 |

Crystal structure
```
data_Ni3TeO6
_chemical_formula_sum 'Ni9 Te3 O18'
_cell_length_a 5.1664
_cell_length_b 5.1664
_cell_length_c 13.9432
_cell_angle_alpha 90.00
_cell_angle_beta 90.00
_cell_angle_gamma 120.00
_space_group_name_H-M_alt 'R 3'
_space_group_IT_number 146
_space_group_name_Hall 'R 3'
loop_
_atom_site_label
_atom_site_fract_x
_atom_site_fract_y
_atom_site_fract_z
Ni1 0.0000 0.0000 0.0000
Ni2 0.0000 0.0000 0.2037
Ni3 0.0000 0.0000 0.4936
Te1 0.0000 0.0000 0.6942
O1 0.0310 0.6900 0.7641
O2 0.0405 0.3711 0.2693
```

=====

Entry 8:
Starting from a crystal structure in the Materials Project, relaxed with GGA+U, the X-ray diffraction stick pattern of VCdO3 was simulated for Cu Ka.

Principal peaks in the range 10° ≤ 2θ ≤ 90°, most intense first:
| h k l | d [Å] | I/Imax |
| --- | --- | --- |
| 1 1 0 | 2.715 | 100 |
| 2 1 1 | 1.568 | 36 |
| 2 0 0 | 1.920 | 35 |
| 1 1 1 | 2.217 | 21 |
| 2 2 0 | 1.358 | 20 |
| 3 1 0 | 1.214 | 15 |
| 1 0 0 | 3.840 | 11 |
| 2 2 2 | 1.109 | 7 |
| 3 1 1 | 1.158 | 6 |
| 2 1 0 | 1.717 | 6 |

Crystal structure
```
data_VCdO3
_chemical_formula_sum 'V1 Cd1 O3'
_cell_length_a 3.8401
_cell_length_b 3.8401
_cell_length_c 3.8401
_cell_angle_alpha 90.00
_cell_angle_beta 90.00
_cell_angle_gamma 90.00
_space_group_name_H-M_alt 'P m -3 m'
_space_group_IT_number 221
_space_group_name_Hall '-P 4 2 3'
loop_
_atom_site_label
_atom_site_fract_x
_atom_site_fract_y
_atom_site_fract_z
V1 0.0000 0.0000 0.0000
Cd1 0.5000 0.5000 0.5000
O1 0.0000 0.0000 0.5000
```